(1)
The following is a computed powder diffractogram of PrDyCu2As4. It was derived from a crystal structure in OQMD, relaxed with GGA-PBE, using Cu Kα.
Intensities are scaled so that the largest is 100.

Atomic structure:
a = 3.9580 Å, b = 3.9580 Å, c = 10.0393 Å
α = 90.00°, β = 90.00°, γ = 90.00°
Atoms (fractional coordinates):
Pr: 0.0000 0.0000 0.0000
Dy: 0.5000 0.5000 0.4754
Cu: 0.0000 0.5000 0.7311
Cu: 0.5000 0.0000 0.7311
As: 0.0000 0.0000 0.5755
As: 0.0000 0.5000 0.2441
As: 0.5000 0.0000 0.2441
As: 0.5000 0.5000 0.8848

Peak list (8 most intense, 10° ≤ 2θ ≤ 80°, most intense first)
d/Å, I_rel
2.444, 100
1.979, 36
2.555, 29
3.682, 21
1.214, 21
1.791, 17
3.108, 17
2.510, 14

---

(2)
The following is a computed powder diffractogram of DyScCu2As4. It was derived from a crystal structure in OQMD, relaxed with GGA-PBE, using Cu Kα.
Intensities are scaled so that the largest is 100.

Atomic structure:
a = 3.8562 Å, b = 3.8562 Å, c = 9.6356 Å
α = 90.00°, β = 90.00°, γ = 90.00°
Atoms (fractional coordinates):
Dy: 0.0000 0.0000 0.0000
Sc: 0.5000 0.5000 0.5307
Cu: 0.0000 0.5000 0.2714
Cu: 0.5000 0.0000 0.2714
As: 0.0000 0.0000 0.4375
As: 0.0000 0.5000 0.7573
As: 0.5000 0.0000 0.7573
As: 0.5000 0.5000 0.1047

Peak list (8 most intense, 10° ≤ 2θ ≤ 80°, most intense first)
d/Å, I_rel
2.373, 100
1.928, 35
3.011, 27
2.468, 14
2.409, 13
1.724, 13
2.043, 12
1.505, 12